The following is a simulated powder diffractogram of TlBiF4. It was derived from a structure optimized by DFT (GGA-PBE), using a wavelength of 1.5418 Å.

Most intense lines, 15° ≤ 2θ ≤ 90°, in order of falling intensity:
Position (°2θ), I (rel.)
25.81, 100.0
49.29, 35.8
43.52, 34.7
28.84, 25.3
41.24, 19.6
53.24, 14.3
69.48, 13.1
76.76, 11.6
53.05, 10.8
31.88, 9.4

Structure:
```
TlBiF4
1.0
-3.096 3.096 5.614
3.096 -3.096 5.614
3.096 3.096 -5.614
Tl Bi F
2 2 8
direct
0.375 0.625 0.750
0.625 0.375 0.250
0.125 0.875 0.250
0.875 0.125 0.750
0.000 0.200 0.200
0.000 0.800 0.800
0.200 0.000 0.700
0.200 0.500 0.200
0.500 0.200 0.700
0.500 0.800 0.300
0.800 0.000 0.300
0.800 0.500 0.800
```

---

The following is a simulated powder diffractogram of BiXeF7. It was derived from a structure optimized by DFT (GGA-PBE), using a wavelength of 1.5418 Å.

Most intense lines, 15° ≤ 2θ ≤ 90°, in order of falling intensity:
Position (°2θ), I (rel.)
21.88, 100.0
23.42, 71.0
20.63, 66.6
19.62, 44.5
21.52, 25.0
35.89, 24.2
22.27, 18.8
40.46, 18.7
27.51, 17.1
38.82, 16.8

Structure:
```
BiXeF7
1.0
5.550 0.000 0.000
0.000 10.423 0.000
-0.553 0.000 12.969
Bi Xe F
4 4 28
direct
0.109 0.016 0.281
0.109 0.484 0.781
0.891 0.516 0.219
0.891 0.984 0.719
0.500 0.239 0.027
0.500 0.261 0.527
0.500 0.739 0.473
0.500 0.761 0.973
0.000 0.128 0.398
0.000 0.372 0.898
0.000 0.628 0.102
0.000 0.872 0.602
0.045 0.624 0.334
0.045 0.876 0.834
0.180 0.098 0.700
0.180 0.402 0.200
0.252 0.611 0.682
0.252 0.889 0.182
0.292 0.596 0.907
0.292 0.904 0.407
0.305 0.097 0.962
0.305 0.403 0.462
0.419 0.121 0.281
0.419 0.379 0.781
0.581 0.621 0.219
0.581 0.879 0.719
0.695 0.597 0.538
0.695 0.903 0.038
0.708 0.096 0.593
0.708 0.404 0.093
0.748 0.111 0.818
0.748 0.389 0.318
0.820 0.598 0.800
0.820 0.902 0.300
0.955 0.124 0.166
0.955 0.376 0.666
```

---

The following is a simulated powder diffractogram of BiXeF9. It was derived from a structure optimized by DFT (GGA-PBE), using a wavelength of 1.5418 Å.

Most intense lines, 15° ≤ 2θ ≤ 90°, in order of falling intensity:
Position (°2θ), I (rel.)
19.47, 100.0
23.23, 88.7
21.20, 77.7
22.94, 61.8
19.29, 49.4
36.06, 44.3
20.78, 39.0
26.85, 30.6
26.73, 30.4
42.06, 23.5

Structure:
```
BiXeF9
1.0
5.892 0.000 0.000
0.411 8.058 0.000
2.689 1.654 8.383
Bi Xe F
2 2 18
direct
0.213 0.341 0.252
0.787 0.659 0.748
0.298 0.171 0.716
0.702 0.829 0.284
0.017 0.802 0.122
0.047 0.126 0.254
0.108 0.550 0.668
0.150 0.226 0.512
0.256 0.439 0.020
0.367 0.534 0.304
0.379 0.863 0.434
0.442 0.118 0.894
0.474 0.785 0.781
0.526 0.215 0.219
0.558 0.882 0.106
0.621 0.137 0.566
0.633 0.466 0.696
0.744 0.561 0.980
0.850 0.774 0.488
0.892 0.450 0.332
0.953 0.874 0.746
0.983 0.198 0.878
```

---

The following is a simulated powder diffractogram of Bi2XeF12. It was derived from a structure optimized by DFT (GGA-PBE), using a wavelength of 1.5418 Å.

Most intense lines, 15° ≤ 2θ ≤ 90°, in order of falling intensity:
Position (°2θ), I (rel.)
21.18, 100.0
20.66, 99.5
25.48, 84.2
15.12, 48.9
21.55, 43.3
22.30, 39.9
16.18, 33.3
37.40, 32.9
26.27, 27.8
37.67, 26.4

Structure:
```
Bi2XeF12
1.0
8.290 0.000 0.000
0.000 10.055 0.000
0.000 0.000 14.592
Bi Xe F
8 4 48
direct
0.101 0.163 0.258
0.103 0.604 0.584
0.397 0.396 0.084
0.399 0.837 0.758
0.601 0.337 0.742
0.603 0.896 0.416
0.897 0.104 0.916
0.899 0.663 0.242
0.104 0.100 0.597
0.396 0.900 0.097
0.604 0.400 0.403
0.896 0.600 0.903
0.008 0.227 0.507
0.024 0.193 0.814
0.042 0.577 0.337
0.059 0.024 0.354
0.073 0.791 0.204
0.094 0.022 0.975
0.098 0.776 0.512
0.144 0.448 0.669
0.181 0.299 0.154
0.203 0.958 0.703
0.232 0.750 0.838
0.233 0.473 0.996
0.267 0.527 0.496
0.268 0.250 0.338
0.297 0.042 0.203
0.319 0.701 0.654
0.356 0.552 0.169
0.402 0.224 0.012
0.406 0.978 0.475
0.427 0.209 0.704
0.441 0.976 0.854
0.458 0.423 0.837
0.476 0.807 0.314
0.492 0.773 0.007
0.508 0.273 0.493
0.524 0.307 0.186
0.542 0.923 0.663
0.559 0.476 0.646
0.573 0.709 0.796
0.594 0.478 0.025
0.598 0.724 0.488
0.644 0.052 0.331
0.681 0.201 0.846
0.703 0.542 0.297
0.732 0.750 0.162
0.733 0.027 0.004
0.767 0.973 0.504
0.768 0.250 0.662
0.797 0.458 0.797
0.819 0.799 0.346
0.856 0.948 0.831
0.902 0.276 0.988
0.906 0.522 0.525
0.927 0.291 0.296
0.941 0.524 0.146
0.958 0.077 0.163
0.976 0.693 0.686
0.992 0.727 0.993
```

---

The following is a simulated powder diffractogram of ZnBiF5. It was derived from a structure optimized by DFT (GGA-PBE), using a wavelength of 1.5418 Å.

Most intense lines, 15° ≤ 2θ ≤ 90°, in order of falling intensity:
Position (°2θ), I (rel.)
24.44, 100.0
21.42, 70.5
16.74, 42.6
25.89, 38.7
50.08, 29.9
32.60, 27.5
44.79, 26.4
32.83, 26.0
33.85, 23.5
43.64, 16.5

Structure:
```
ZnBiF5
1.0
5.813 0.000 0.000
-1.742 5.548 0.000
-2.592 -2.365 7.601
Zn Bi F
2 2 10
direct
0.000 0.000 0.000
0.484 0.987 0.499
0.240 0.493 0.748
0.744 0.494 0.248
0.132 0.630 0.495
0.171 0.815 0.896
0.320 0.172 0.607
0.350 0.351 0.998
0.520 0.165 0.317
0.577 0.717 0.398
0.641 0.786 0.817
0.841 0.203 0.684
0.916 0.275 0.103
0.980 0.835 0.191
```

---

The following is a simulated powder diffractogram of ZnBiF5. It was derived from a structure optimized by DFT (GGA-PBE), using a wavelength of 1.5418 Å.

Most intense lines, 15° ≤ 2θ ≤ 90°, in order of falling intensity:
Position (°2θ), I (rel.)
23.60, 100.0
23.38, 71.2
24.40, 57.9
18.73, 42.1
48.33, 32.9
33.27, 32.7
16.45, 27.8
42.54, 26.8
47.79, 25.0
35.05, 24.4

Structure:
```
ZnBiF5
1.0
5.569 0.000 0.000
0.000 10.776 0.000
-2.753 0.000 8.133
Zn Bi F
4 4 20
direct
0.002 0.007 0.277
0.002 0.493 0.777
0.998 0.507 0.223
0.998 0.993 0.723
0.409 0.242 0.108
0.409 0.258 0.608
0.591 0.742 0.392
0.591 0.758 0.892
0.106 0.108 0.111
0.106 0.392 0.611
0.137 0.103 0.489
0.137 0.397 0.989
0.238 0.628 0.819
0.238 0.872 0.319
0.323 0.188 0.835
0.323 0.312 0.335
0.338 0.574 0.292
0.338 0.926 0.792
0.662 0.074 0.208
0.662 0.426 0.708
0.677 0.688 0.665
0.677 0.812 0.165
0.762 0.128 0.681
0.762 0.372 0.181
0.863 0.603 0.011
0.863 0.897 0.511
0.894 0.608 0.389
0.894 0.892 0.889
```

---

The following is a simulated powder diffractogram of ZnBiF5. It was derived from a structure optimized by DFT (GGA-PBE), using a wavelength of 1.5418 Å.

Most intense lines, 15° ≤ 2θ ≤ 90°, in order of falling intensity:
Position (°2θ), I (rel.)
24.49, 100.0
21.48, 70.1
16.86, 42.8
26.17, 37.0
50.61, 29.8
32.64, 29.2
32.96, 26.1
45.17, 25.0
34.10, 23.6
43.77, 16.3

Structure:
```
ZnBiF5
1.0
4.683 -3.405 0.000
4.683 3.405 0.000
-4.032 0.000 7.594
Zn Bi F
2 2 10
direct
0.008 0.992 0.750
0.992 0.008 0.250
0.500 0.500 0.000
0.500 0.500 0.500
0.165 0.785 0.065
0.173 0.287 0.353
0.215 0.835 0.435
0.287 0.173 0.853
0.360 0.640 0.750
0.640 0.360 0.250
0.713 0.827 0.147
0.785 0.165 0.565
0.827 0.713 0.647
0.835 0.215 0.935
```

---

The following is a simulated powder diffractogram of ZnBiF6. It was derived from a structure optimized by DFT (GGA-PBE), using a wavelength of 1.5418 Å.

Most intense lines, 15° ≤ 2θ ≤ 90°, in order of falling intensity:
Position (°2θ), I (rel.)
21.94, 100.0
49.71, 32.0
30.73, 30.0
19.17, 23.0
31.72, 22.1
44.75, 19.4
51.04, 18.8
36.90, 15.0
55.89, 12.9
38.91, 11.5

Structure:
```
ZnBiF6
1.0
2.821 1.628 4.830
-2.821 1.628 4.830
0.000 -3.257 4.830
Zn Bi F
1 1 6
direct
0.000 0.000 0.000
0.500 0.500 0.500
0.142 0.337 0.760
0.240 0.858 0.663
0.337 0.760 0.142
0.663 0.240 0.858
0.760 0.142 0.337
0.858 0.663 0.240
```